1.
For Sc2TaNbGe2, DFT lattice parameters and positions (GGA-PBE) gives the calculated XRD peak list in this record (Cu Kα, 1.54184 Å).
Kinematic intensities with the Lorentz-polarization factor, no thermal factor.

Principal peaks in the range 2θ from 5° to 70°, in order of rising 2θ:
| Position (°2θ) | I/Imax |
| --- | --- |
| 11.9 | 98 |
| 25.6 | 21 |
| 34.4 | 91 |
| 36.3 | 28 |
| 40.5 | 100 |
| 43.2 | 15 |
| 46.1 | 45 |
| 47.8 | 13 |
| 60.1 | 25 |
| 67.3 | 14 |

Crystal structure
```
Sc2TaNbGe2
1.0
3.937 0.000 0.000
0.000 3.937 0.000
0.000 0.000 7.415
Sc Ta Nb Ge
2 1 1 2
direct
0.000 0.500 0.150
0.500 0.000 0.850
0.500 0.500 0.500
0.000 0.000 0.500
0.000 0.500 0.767
0.500 0.000 0.233
```

***

2.
For MgCdCu, DFT lattice parameters and positions (GGA-PBE) gives the calculated XRD peak list in this record (Cu Kα, 1.54184 Å).
Kinematic intensities with the Lorentz-polarization factor, no thermal factor.

Principal peaks in the range 2θ from 5° to 70°, in order of rising 2θ:
| Position (°2θ) | I/Imax |
| --- | --- |
| 20.1 | 100 |
| 22.2 | 29 |
| 35.2 | 58 |
| 37.8 | 81 |
| 39.1 | 40 |
| 39.5 | 47 |
| 42.7 | 40 |
| 44.3 | 77 |
| 45.4 | 30 |
| 66.5 | 29 |

Crystal structure
```
MgCdCu
1.0
0.000 4.438 9.210
2.657 0.000 9.210
2.657 4.438 0.000
Mg Cd Cu
4 4 4
direct
0.041 0.041 0.209
0.209 0.209 0.041
0.791 0.791 0.959
0.959 0.959 0.791
0.205 0.545 0.205
0.455 0.795 0.455
0.545 0.205 0.545
0.795 0.455 0.795
0.249 0.249 0.501
0.499 0.499 0.751
0.501 0.501 0.249
0.751 0.751 0.499
```

***

3.
For FeNi3B2, DFT lattice parameters and positions (GGA-PBE) gives the calculated XRD peak list in this record (Cu Kα, 1.54184 Å).
Kinematic intensities with the Lorentz-polarization factor, no thermal factor.

Principal peaks in the range 2θ from 5° to 70°, in order of rising 2θ:
| Position (°2θ) | I/Imax |
| --- | --- |
| 25.0 | 6 |
| 25.1 | 9 |
| 35.7 | 35 |
| 43.0 | 47 |
| 45.7 | 100 |
| 45.8 | 95 |
| 50.4 | 12 |
| 57.1 | 27 |
| 58.0 | 12 |
| 58.1 | 13 |

Crystal structure
```
FeNi3B2
1.0
0.000 3.561 3.544
2.105 0.000 3.544
2.105 3.561 0.000
Fe Ni B
1 3 2
direct
0.000 0.000 0.000
0.166 0.501 0.499
0.501 0.166 0.834
0.667 0.667 0.333
0.083 0.083 0.417
0.583 0.583 0.917
```